Entry 1:
Computed X-ray powder pattern
Compound: Pr4Y2Er5
Radiation: Cu Kα, 1.54184 Å
Structure: a cell relaxed with PBE

Top 6 peaks for 10° ≤ 2θ ≤ 80°, by angle:
30.77°, d = 2.906 Å, intensity 100, (8 0 -1); 31.12°, d = 2.874 Å, intensity 81, (2 0 -3); 31.70°, d = 2.823 Å, intensity 77, (6 0 2); 33.53°, d = 2.672 Å, intensity 98, (5 1 1); 33.87°, d = 2.646 Å, intensity 97, (3 1 -2); 51.38°, d = 1.778 Å, intensity 69, (0 2 0)

Structure:
Cell lengths 24.018, 3.556, 8.729 Å; angles 90.00, 94.86, 90.00 degrees
Space group C2/m (No. 12)
Asymmetric unit:
Pr: 0.042 0.000 0.347 (multiplicity 4)
Pr: 0.141 0.500 0.126 (multiplicity 4)
Y: 0.230 0.500 0.825 (multiplicity 4)
Er: 0.000 0.500 0.000 (multiplicity 2)
Er: 0.090 0.500 0.696 (multiplicity 4)
Er: 0.186 0.000 0.481 (multiplicity 4)

---

Entry 2:
Computed X-ray powder pattern
Compound: Bi7O6F9
Radiation: Cu Kα, 1.54184 Å
Structure: a cell relaxed with PBE

Top 6 peaks for 10° ≤ 2θ ≤ 80°, by angle:
26.21°, d = 3.401 Å, intensity 100, (1 7 1); 29.97°, d = 2.982 Å, intensity 14, (0 14 0); 30.47°, d = 2.933 Å, intensity 14, (0 0 2); 43.27°, d = 2.091 Å, intensity 13, (0 14 2); 43.37°, d = 2.087 Å, intensity 14, (2 14 0); 50.97°, d = 1.792 Å, intensity 13, (1 21 1)

Structure:
Cell lengths 5.842, 41.742, 5.867 Å; angles 90.00, 90.00, 90.00 degrees
Space group Aem2 (No. 39)
Asymmetric unit:
Bi: 0.192 0.103 0.000 (multiplicity 8)
Bi: 0.207 0.174 0.579 (multiplicity 8)
Bi: 0.244 0.250 0.984 (multiplicity 4)
Bi: 0.249 0.029 0.574 (multiplicity 8)
O: 0.000 0.000 0.318 (multiplicity 4)
O: 0.009 0.075 0.744 (multiplicity 8)
O: 0.020 0.147 0.310 (multiplicity 8)
O: 0.500 0.000 0.294 (multiplicity 4)
F: 0.037 0.218 0.276 (multiplicity 8)
F: 0.378 0.197 0.941 (multiplicity 8)
F: 0.387 0.250 0.627 (multiplicity 4)
F: 0.413 0.131 0.639 (multiplicity 8)
F: 0.444 0.063 0.914 (multiplicity 8)

---

Entry 3:
Computed X-ray powder pattern
Compound: La6ErMg2
Radiation: Cu Kα, 1.54184 Å
Structure: a cell relaxed with PBE

Top 6 peaks for 10° ≤ 2θ ≤ 80°, by angle:
19.16°, d = 4.632 Å, intensity 26, (1 1 1); 30.03°, d = 2.976 Å, intensity 62, (0 0 3); 30.17°, d = 2.963 Å, intensity 63, (2 0 1); 30.49°, d = 2.932 Å, intensity 100, (1 3 1); 34.94°, d = 2.568 Å, intensity 44, (2 0 2); 35.22°, d = 2.548 Å, intensity 70, (1 3 2)

Structure:
Cell lengths 6.281, 10.710, 8.928 Å; angles 90.00, 90.00, 90.00 degrees
Space group C222 (No. 21)
Asymmetric unit:
La: 0.000 0.177 0.000 (multiplicity 4)
La: 0.242 0.416 0.664 (multiplicity 8)
Er: 0.000 0.500 0.000 (multiplicity 2)
Mg: 0.250 0.250 0.330 (multiplicity 4)

---

Entry 4:
Computed X-ray powder pattern
Compound: LaPm8Ho2
Radiation: Cu Kα, 1.54184 Å
Structure: a cell relaxed with PBE

Top 6 peaks for 10° ≤ 2θ ≤ 80°, by angle:
29.30°, d = 3.048 Å, intensity 26, (1 1 4); 31.44°, d = 2.846 Å, intensity 100, (1 2 3); 31.56°, d = 2.835 Å, intensity 35, (2 0 0); 32.05°, d = 2.792 Å, intensity 16, (1 0 5); 33.52°, d = 2.673 Å, intensity 15, (0 0 6); 56.13°, d = 1.639 Å, intensity 21, (3 2 3)

Structure:
Cell lengths 5.670, 8.346, 16.041 Å; angles 90.00, 90.00, 90.00 degrees
Space group Immm (No. 71)
Asymmetric unit:
La: 0.000 0.000 0.000 (multiplicity 2)
Pm: 0.000 0.205 0.500 (multiplicity 4)
Pm: 0.000 0.296 0.140 (multiplicity 8)
Pm: 0.000 0.500 0.337 (multiplicity 4)
Ho: 0.000 0.000 0.300 (multiplicity 4)

---

Entry 5:
Computed X-ray powder pattern
Compound: Sm7Sn2Sb2
Radiation: Cu Kα, 1.54184 Å
Structure: a cell relaxed with PBE

Top 6 peaks for 10° ≤ 2θ ≤ 80°, by angle:
23.62°, d = 3.767 Å, intensity 36, (2 0 1); 25.66°, d = 3.472 Å, intensity 33, (2 2 0); 27.59°, d = 3.233 Å, intensity 32, (1 1 2); 31.61°, d = 2.831 Å, intensity 55, (0 4 0); 35.68°, d = 2.516 Å, intensity 100, (2 2 2); 52.75°, d = 1.735 Å, intensity 20, (4 4 0)

Structure:
Cell lengths 8.794, 11.317, 7.306 Å; angles 90.00, 90.00, 90.00 degrees
Space group Cmmm (No. 65)
Asymmetric unit:
Sm: 0.000 0.000 0.000 (multiplicity 2)
Sm: 0.000 0.500 0.262 (multiplicity 4)
Sm: 0.250 0.250 0.281 (multiplicity 8)
Sn: 0.178 0.000 0.500 (multiplicity 4)
Sb: 0.000 0.278 0.000 (multiplicity 4)

---

Entry 6:
Computed X-ray powder pattern
Compound: NdCdSb2
Radiation: Cu Kα, 1.54184 Å
Structure: a cell relaxed with PBE

Top 6 peaks for 10° ≤ 2θ ≤ 80°, by angle:
32.10°, d = 2.788 Å, intensity 100, (0 2 2); 33.25°, d = 2.694 Å, intensity 92, (2 2 0); 33.37°, d = 2.685 Å, intensity 46, (0 4 0); 40.05°, d = 2.251 Å, intensity 54, (2 0 2); 53.08°, d = 1.725 Å, intensity 40, (2 4 2); 59.57°, d = 1.552 Å, intensity 17, (2 6 0)

Structure:
Cell lengths 6.230, 10.739, 6.523 Å; angles 90.00, 90.00, 90.00 degrees
Space group Cmme (No. 67)
Asymmetric unit:
Nd: 0.000 0.250 0.191 (multiplicity 4)
Cd: 0.250 0.000 0.500 (multiplicity 4)
Sb: 0.000 0.250 0.680 (multiplicity 4)
Sb: 0.250 0.000 0.000 (multiplicity 4)

---

Entry 7:
Computed X-ray powder pattern
Compound: Be2Zn2AsO6
Radiation: Cu Kα, 1.54184 Å
Structure: a cell relaxed with PBE

Top 6 peaks for 10° ≤ 2θ ≤ 80°, by angle:
14.88°, d = 5.952 Å, intensity 43, (0 0 1); 25.31°, d = 3.519 Å, intensity 100, (0 1 1); 35.64°, d = 2.519 Å, intensity 44, (1 1 0); 36.55°, d = 2.458 Å, intensity 54, (1 0 2); 44.22°, d = 2.048 Å, intensity 35, (2 0 1); 58.04°, d = 1.589 Å, intensity 23, (3 -2 1)

Structure:
Cell lengths 5.0377, 5.0377, 5.9518 Å; angles 90.00, 90.00, 120.00 degrees
Space group P-3 (No. 147)
Asymmetric unit:
Be: 0.3333 0.6667 0.2970 (multiplicity 2)
Zn: 0.3333 0.6667 0.7578 (multiplicity 2)
As: 0.0000 0.0000 0.5000 (multiplicity 1)
O: 0.0468 0.7057 0.2975 (multiplicity 6)

---

Entry 8:
Computed X-ray powder pattern
Compound: Re6Ni7
Radiation: Cu Kα, 1.54184 Å
Structure: a cell relaxed with PBE

Top 6 peaks for 10° ≤ 2θ ≤ 80°, by angle:
38.39°, d = 2.345 Å, intensity 100, (1 1 0); 41.69°, d = 2.167 Å, intensity 68, (1 0 10); 44.06°, d = 2.055 Å, intensity 75, (1 1 6); 44.77°, d = 2.025 Å, intensity 25, (0 2 1); 44.87°, d = 2.020 Å, intensity 53, (0 1 11); 71.67°, d = 1.317 Å, intensity 27, (2 1 10)

Structure:
Cell lengths 4.6901, 4.6901, 25.6156 Å; angles 90.00, 90.00, 120.00 degrees
Space group R-3m (No. 166, hexagonal axes)
Asymmetric unit:
Re: 0.0000 0.0000 0.0482 (multiplicity 6)
Re: 0.0000 0.0000 0.1507 (multiplicity 6)
Re: 0.0000 0.0000 0.3333 (multiplicity 6)
Ni: 0.0000 0.0000 0.5000 (multiplicity 3)
Ni: 0.0033 0.5016 0.9102 (multiplicity 18)